(1)
The following is a theoretical XRD peak list of Y4NiTe. It was derived from a DFT-relaxed cell (PBE, Alexandria), using Cu Kα (λ = 1.5418 Å).

Crystal structure
Cell: 8.312 3.893 19.526 Å, 90.00 90.00 90.00°
Space group Pnma (No. 62)
Inequivalent atoms, fractional coordinates:
Y: 0.019 0.250 0.069 (multiplicity 4)
Y: 0.043 0.750 0.217 (multiplicity 4)
Y: 0.137 0.750 0.649 (multiplicity 4)
Y: 0.146 0.750 0.451 (multiplicity 4)
Ni: 0.232 0.250 0.551 (multiplicity 4)
Te: 0.244 0.250 0.314 (multiplicity 4)

Most intense lines, 10 to 90 degrees two-theta, by intensity:
d [Å]  I_rel  (hkl)
2.858  100  1 1 4
2.604  82  2 1 3
2.844  56  2 0 5
2.757  54  0 1 5
2.743  42  3 0 1
1.946  39  0 2 0
2.410  32  3 0 4
2.297  30  2 1 5
2.812  28  2 1 1
2.242  27  3 1 1
2.645  25  1 0 7
2.441  24  0 0 8

---

(2)
The following is a theoretical XRD peak list of ZnNi3Te. It was derived from a DFT-relaxed cell (PBE, Alexandria), using Cu Kα (λ = 1.5418 Å).

Crystal structure
Cell: 4.375 4.375 4.375 Å, 90.00 90.00 90.00°
Space group Pm-3m (No. 221)
Inequivalent atoms, fractional coordinates:
Zn: 0.000 0.000 0.000 (multiplicity 1)
Ni: 0.000 0.000 0.500 (multiplicity 3)
Te: 0.500 0.500 0.500 (multiplicity 1)

Most intense lines, 10 to 90 degrees two-theta, by intensity:
d [Å]  I_rel  (hkl)
2.188  100  2 0 0
2.526  82  1 1 1
1.547  64  2 2 0
3.094  59  1 1 0
1.319  29  3 1 1
1.786  24  2 1 1
1.263  21  2 2 2
1.169  12  3 2 1
1.384  10  3 1 0
1.094  10  4 0 0
4.375  1  1 0 0

---

(3)
The following is a theoretical XRD peak list of ZrNiTe2. It was derived from a DFT-relaxed cell (PBE, Alexandria), using Cu Kα (λ = 1.5418 Å).

Crystal structure
Cell: 8.679 6.744 8.109 Å, 90.00 117.80 90.00°
Space group P2_1/c (No. 14)
Inequivalent atoms, fractional coordinates:
Zr: 0.000 0.000 0.210 (multiplicity 4)
Ni: 0.116 0.146 0.558 (multiplicity 4)
Te: 0.211 0.734 0.105 (multiplicity 4)
Te: 0.309 0.250 0.404 (multiplicity 4)

Most intense lines, 10 to 90 degrees two-theta, by intensity:
d [Å]  I_rel  (hkl)
3.166  100  0 1 2
7.677  85  1 0 0
2.533  57  2 2 0
2.164  42  2 0 2
2.456  35  0 2 2
1.905  35  2 3 -2
2.060  26  2 1 2
2.027  23  2 0 -4
3.372  21  0 2 0
1.583  19  0 2 4
1.321  16  4 2 2
2.476  16  1 1 -3

---

(4)
The following is a theoretical XRD peak list of Zr6NiTe2. It was derived from a DFT-relaxed cell (PBE, Alexandria), using Cu Kα (λ = 1.5418 Å).

Crystal structure
Cell: 7.7457 7.7457 3.7156 Å, 90.00 90.00 120.00°
Space group P-62m (No. 189)
Inequivalent atoms, fractional coordinates:
Zr: 0.0000 0.4065 0.0000 (multiplicity 3)
Zr: 0.0000 0.7603 0.5000 (multiplicity 3)
Ni: 0.0000 0.0000 0.0000 (multiplicity 1)
Te: 0.3333 0.6667 0.5000 (multiplicity 2)

Most intense lines, 10 to 90 degrees two-theta, by intensity:
d [Å]  I_rel  (hkl)
2.681  100  1 1 1
2.490  89  2 0 1
2.535  65  2 1 0
2.094  42  2 1 1
2.236  41  3 0 0
1.859  32  0 0 2
1.422  30  3 2 1
1.499  25  2 1 2
1.429  19  3 0 2
1.362  17  4 1 1
1.664  14  3 1 1
1.464  12  4 1 0

---

(5)
The following is a theoretical XRD peak list of ZrNiTe3. It was derived from a DFT-relaxed cell (PBE, Alexandria), using Cu Kα (λ = 1.5418 Å).

Crystal structure
Cell: 3.840 24.161 6.519 Å, 90.00 90.00 90.00°
Space group Ama2 (No. 40)
Inequivalent atoms, fractional coordinates:
Zr: 0.250 0.166 0.000 (multiplicity 4)
Ni: 0.250 0.372 0.827 (multiplicity 4)
Te: 0.250 0.066 0.232 (multiplicity 4)
Te: 0.250 0.270 0.736 (multiplicity 4)
Te: 0.250 0.375 0.210 (multiplicity 4)

Most intense lines, 10 to 90 degrees two-theta, by intensity:
d [Å]  I_rel  (hkl)
3.057  100  1 3 1
2.045  34  1 10 0
1.840  34  0 7 3
2.298  28  1 4 2
3.260  23  0 0 2
6.040  23  0 4 0
2.534  20  0 6 2
6.294  19  0 1 1
1.920  16  2 0 0
3.278  16  1 1 1
1.732  15  1 10 2
2.434  13  1 2 2

---

(6)
The following is a theoretical XRD peak list of Th2Ni7. It was derived from a DFT-relaxed cell (PBE, Alexandria), using Cu Kα (λ = 1.5418 Å).

Crystal structure
Cell: 4.9881 4.9881 24.7550 Å, 90.00 90.00 120.00°
Space group P6_3/mmc (No. 194)
Inequivalent atoms, fractional coordinates:
Th: 0.3333 0.6667 0.0322 (multiplicity 4)
Th: 0.3333 0.6667 0.1759 (multiplicity 4)
Ni: 0.0000 0.0000 0.0000 (multiplicity 2)
Ni: 0.0000 0.0000 0.1678 (multiplicity 4)
Ni: 0.1666 0.3333 0.7500 (multiplicity 6)
Ni: 0.1672 0.3344 0.5859 (multiplicity 12)
Ni: 0.3333 0.6667 0.6678 (multiplicity 4)

Most intense lines, 10 to 90 degrees two-theta, by intensity:
d [Å]  I_rel  (hkl)
2.736  100  1 0 7
2.134  95  1 1 6
2.494  65  1 1 0
2.152  38  2 0 1
1.482  32  2 1 7
1.443  22  1 1 14
1.247  22  2 2 0
1.360  22  3 0 6
4.256  20  1 0 1
1.428  16  2 0 13
2.160  15  2 0 0
1.942  14  1 1 8

---

(7)
The following is a theoretical XRD peak list of ThNi6. It was derived from a DFT-relaxed cell (PBE, Alexandria), using Cu Kα (λ = 1.5418 Å).

Crystal structure
Cell: 7.848 4.901 9.900 Å, 90.00 90.00 90.00°
Space group Pnma (No. 62)
Inequivalent atoms, fractional coordinates:
Th: 0.240 0.250 0.062 (multiplicity 4)
Ni: 0.062 0.750 0.094 (multiplicity 4)
Ni: 0.067 0.005 0.309 (multiplicity 8)
Ni: 0.106 0.250 0.519 (multiplicity 4)
Ni: 0.149 0.750 0.851 (multiplicity 4)
Ni: 0.182 0.250 0.758 (multiplicity 4)

Most intense lines, 10 to 90 degrees two-theta, by intensity:
d [Å]  I_rel  (hkl)
2.246  100  3 1 1
2.360  36  1 0 4
3.833  27  1 1 1
2.450  20  0 2 0
1.372  20  3 3 1
2.078  19  2 2 0
1.925  19  4 0 1
2.737  18  0 1 3
1.340  16  4 1 5
2.196  16  0 2 2
1.700  13  1 2 4
1.908  12  1 2 3

---

(8)
The following is a theoretical XRD peak list of Tm2Th3Ni2. It was derived from a DFT-relaxed cell (PBE, Alexandria), using Cu Kα (λ = 1.5418 Å).

Crystal structure
Cell: 11.669 3.690 8.878 Å, 90.00 109.98 90.00°
Space group C2/m (No. 12)
Inequivalent atoms, fractional coordinates:
Tm: 0.168 0.000 0.305 (multiplicity 4)
Th: 0.000 0.500 0.500 (multiplicity 2)
Th: 0.117 0.500 0.933 (multiplicity 4)
Ni: 0.148 0.000 0.701 (multiplicity 4)

Most intense lines, 10 to 90 degrees two-theta, by intensity:
d [Å]  I_rel  (hkl)
2.916  100  2 0 -3
2.670  58  3 1 -1
2.547  54  1 1 2
2.880  51  2 0 2
2.837  39  1 1 -2
3.107  35  1 1 1
2.493  35  3 1 -2
1.559  32  2 2 -3
1.845  29  0 2 0
1.518  23  7 1 -2
3.497  22  1 1 0
2.325  21  3 1 1

---

(9)
The following is a theoretical XRD peak list of ThVNi2. It was derived from a DFT-relaxed cell (PBE, Alexandria), using Cu Kα (λ = 1.5418 Å).

Crystal structure
Cell: 4.1078 4.1078 14.6316 Å, 90.00 90.00 120.00°
Space group R-3m (No. 166, hexagonal axes)
Inequivalent atoms, fractional coordinates:
Th: 0.0000 0.0000 0.0000 (multiplicity 3)
V: 0.0000 0.0000 0.5000 (multiplicity 3)
Ni: 0.0000 0.0000 0.2005 (multiplicity 6)

Most intense lines, 10 to 90 degrees two-theta, by intensity:
d [Å]  I_rel  (hkl)
2.550  100  1 0 4
3.457  99  1 0 1
2.054  87  1 1 0
2.260  66  0 1 5
3.199  51  0 1 2
1.571  44  1 1 6
2.439  29  0 0 6
1.600  24  0 2 4
1.353  23  1 0 10
1.262  22  2 1 4
1.520  19  2 0 5
1.222  19  1 2 5

---

(10)
The following is a theoretical XRD peak list of ThZnNi. It was derived from a DFT-relaxed cell (PBE, Alexandria), using Cu Kα (λ = 1.5418 Å).

Crystal structure
Cell: 4.345 4.884 5.969 Å, 90.00 111.35 90.00°
Space group P2_1/m (No. 11)
Inequivalent atoms, fractional coordinates:
Th: 0.104 0.250 0.215 (multiplicity 2)
Zn: 0.389 0.250 0.784 (multiplicity 2)
Ni: 0.228 0.750 0.446 (multiplicity 2)

Most intense lines, 10 to 90 degrees two-theta, by intensity:
d [Å]  I_rel  (hkl)
2.442  100  0 2 0
4.047  22  1 0 0
3.116  20  1 1 -1
2.172  17  2 0 -1
1.410  16  1 3 1
3.669  16  0 1 1
1.623  14  2 2 -1
2.780  12  0 0 2
1.835  11  0 2 2
1.427  10  1 1 -4
1.300  10  3 1 0
2.091  8  1 2 0

---

(11)
The following is a theoretical XRD peak list of ThZn4Ni4. It was derived from a DFT-relaxed cell (PBE, Alexandria), using Cu Kα (λ = 1.5418 Å).

Crystal structure
Cell: 8.163 8.163 4.093 Å, 90.00 90.00 90.00°
Space group I4/m (No. 87)
Inequivalent atoms, fractional coordinates:
Th: 0.000 0.000 0.000 (multiplicity 2)
Zn: 0.099 0.382 0.000 (multiplicity 8)
Ni: 0.124 0.212 0.500 (multiplicity 8)

Most intense lines, 10 to 90 degrees two-theta, by intensity:
d [Å]  I_rel  (hkl)
2.724  100  1 2 1
1.981  79  3 2 1
2.266  67  3 0 1
2.581  47  1 3 0
2.046  37  0 0 2
1.601  28  5 1 0
1.261  24  5 1 2
1.604  22  1 3 2
4.081  21  2 0 0
1.217  18  5 4 1
2.886  17  2 2 0
5.772  15  1 1 0

---

(12)
The following is a theoretical XRD peak list of Th2Zn12Ni5. It was derived from a DFT-relaxed cell (PBE, Alexandria), using Cu Kα (λ = 1.5418 Å).

Crystal structure
Cell: 8.9391 8.9391 12.6899 Å, 90.00 90.00 120.00°
Space group R-3m (No. 166, hexagonal axes)
Inequivalent atoms, fractional coordinates:
Th: 0.0000 0.0000 0.1716 (multiplicity 6)
Zn: 0.0000 0.2824 0.5000 (multiplicity 18)
Zn: 0.0058 0.5029 0.3476 (multiplicity 18)
Ni: 0.0000 0.0000 0.3886 (multiplicity 6)
Ni: 0.0000 0.5000 0.0000 (multiplicity 9)

Most intense lines, 10 to 90 degrees two-theta, by intensity:
d [Å]  I_rel  (hkl)
2.203  100  3 0 3
2.235  71  2 2 0
3.072  48  1 1 3
2.581  45  3 0 0
2.115  35  0 0 6
2.122  26  2 0 5
2.454  26  0 2 4
1.536  26  2 2 6
1.569  25  1 4 3
1.237  20  3 0 9
2.657  19  1 2 2
1.917  17  1 2 5